No. 1
Starting from a structure optimized by DFT (PBE), the powder XRD pattern of LiAuO4 was calculated for Cu Ka.

Atomic structure:
abc: 4.173 5.971 5.263
angles: 90.00 94.95 90.00
Atoms (fractional coordinates):
1 Li 0.000 0.164 0.250
2 Li 0.000 0.836 0.750
3 Au 0.500 0.369 0.750
4 Au 0.500 0.631 0.250
5 O 0.133 0.141 0.843
6 O 0.133 0.859 0.343
7 O 0.256 0.382 0.407
8 O 0.256 0.618 0.907
9 O 0.744 0.382 0.093
10 O 0.744 0.618 0.593
11 O 0.867 0.141 0.657
12 O 0.867 0.859 0.157

Top 6 peaks for 5 to 70 degrees two-theta, by angle:
d = 5.971 Å, I = 100, (0 1 0); d = 4.158 Å, I = 68, (1 0 0); d = 3.940 Å, I = 95, (0 1 1); d = 3.412 Å, I = 71, (1 1 0); d = 2.957 Å, I = 42, (1 1 -1); d = 2.244 Å, I = 60, (1 2 -1)

No. 2
Starting from a structure optimized by DFT (PBE), the powder XRD pattern of MgPtNO was calculated for Cu Ka.

Atomic structure:
abc: 3.980 3.980 6.516
angles: 90.00 90.00 90.00
Atoms (fractional coordinates):
1 Mg 0.250 0.250 0.050
2 Mg 0.750 0.750 0.950
3 Pt 0.250 0.750 0.500
4 Pt 0.750 0.250 0.500
5 N 0.250 0.250 0.390
6 N 0.750 0.750 0.610
7 O 0.250 0.750 0.000
8 O 0.750 0.250 0.000

Top 6 peaks for 5 to 70 degrees two-theta, by angle:
d = 6.516 Å, I = 100, (0 0 1); d = 3.258 Å, I = 43, (0 0 2); d = 2.814 Å, I = 30, (1 1 0); d = 2.583 Å, I = 61, (1 1 1); d = 2.130 Å, I = 33, (1 1 2); d = 1.698 Å, I = 25, (2 0 2)